# Sr2LiRhO6
Computed powder XRD pattern, copper Kα. Input: a cell relaxed with GGA-PBE.
Lines closer than 0.1° are merged.

Crystal structure
a = 5.623 Å, b = 5.607 Å, c = 9.714 Å
α = 90.00°, β = 125.23°, γ = 90.00°
Sites, in units of the cell vectors:
Sr 0.248 0.026 0.251
Sr 0.248 0.474 0.751
Sr 0.752 0.526 0.249
Sr 0.752 0.974 0.749
Li 0.500 0.000 0.000
Li 0.500 0.500 0.500
Rh 0.000 0.000 0.500
Rh 0.000 0.500 0.000
O 0.186 0.228 0.976
O 0.186 0.272 0.476
O 0.244 0.712 0.975
O 0.244 0.788 0.475
O 0.289 0.005 0.742
O 0.289 0.495 0.242
O 0.711 0.505 0.758
O 0.711 0.995 0.258
O 0.756 0.212 0.525
O 0.756 0.288 0.025
O 0.814 0.728 0.524
O 0.814 0.772 0.024

Principal peaks in the range 2θ = 10–80°, low angle first:
- (1 0 0), 19.4 deg, intensity 42
- (2 0 -2), 31.9 deg, intensity 100
- (1 0 2), 37.6 deg, intensity 21
- (2 0 -4), 39.3 deg, intensity 7
- (0 2 2), 39.4 deg, intensity 6
- (0 0 4), 45.7 deg, intensity 37
- (2 0 2), 56.7 deg, intensity 11
- (3 1 -5), 56.8 deg, intensity 30
- (2 2 2), 66.6 deg, intensity 10
- (2 2 -6), 66.7 deg, intensity 10
- (1 1 5), 75.7 deg, intensity 8
- (1 1 -7), 75.8 deg, intensity 8